Calculated powder XRD pattern
Compound: Na4V3O8
Radiation: copper Kα
Structure: DFT lattice parameters and positions (GGA+U)
Neutral-atom scattering factors, no anomalous dispersion.

Structural model:
```
data_Na4V3O8
_chemical_formula_sum 'Na8 V6 O16'
_cell_length_a 6.8939
_cell_length_b 4.2600
_cell_length_c 12.2149
_cell_angle_alpha 90.00
_cell_angle_beta 103.37
_cell_angle_gamma 90.00
_symmetry_space_group_name_H-M 'P 1 21/m 1'
_symmetry_Int_Tables_number 11
_symmetry_space_group_name_Hall '-P 2yb'
loop_
_atom_site_label
_atom_site_type_symbol
_atom_site_fract_x
_atom_site_fract_y
_atom_site_fract_z
Na1 Na 0.0330 0.2500 0.3327
Na2 Na 0.1785 0.2500 0.5964
Na3 Na 0.4142 0.2500 0.0470
Na4 Na 0.4601 0.7500 0.7089
V1 V 0.0950 0.7500 0.9258
V2 V 0.2102 0.7500 0.1886
V3 V 0.3504 0.7500 0.4421
O1 O 0.0497 0.2500 0.9345
O2 O 0.0935 0.7500 0.3100
O3 O 0.1772 0.2500 0.1723
O4 O 0.1908 0.7500 0.5387
O5 O 0.2438 0.7500 0.8318
O6 O 0.3272 0.7500 0.0635
O7 O 0.3851 0.2500 0.4548
O8 O 0.4576 0.7500 0.3076
```

Peak list (6 most intense, 10 to 90 degrees two-theta, sorted by position)
13.58 deg, rel. 100, hkl 1 0 -1; 24.76 deg, rel. 54, hkl 1 1 0; 33.47 deg, rel. 36, hkl 2 1 -1; 39.00 deg, rel. 63, hkl 2 0 3; 41.16 deg, rel. 47, hkl 2 0 -5; 42.44 deg, rel. 63, hkl 0 2 0